# PmY
Simulated XRD peak list, copper Kα. Input: a PBE-relaxed structure.

Principal peaks in the range 2θ = 15–90°, most intense first:
Position (°2θ)  intensity
31.3  100
30.3  75
31.7  49
32.2  36
36.0  33
61.0  29
25.7  27
45.8  26
55.6  23
56.3  19

Cell and atoms:
```
PmY
1.0
3.585 0.000 0.000
0.000 13.238 0.000
0.000 0.000 5.641
Pm Y
4 4
direct
0.000 0.062 0.250
0.000 0.938 0.750
0.500 0.438 0.750
0.500 0.562 0.250
0.000 0.322 0.250
0.000 0.678 0.750
0.500 0.178 0.750
0.500 0.822 0.250
```

# Dy3Cu6Sn5
Simulated XRD peak list, copper Kα. Input: a PBE-relaxed structure.

Principal peaks in the range 2θ = 15–90°, most intense first:
Position (°2θ)  intensity
34.6  100
29.4  75
34.1  74
41.7  65
34.3  60
36.9  47
64.0  38
42.4  35
55.1  32
55.5  30

Cell and atoms:
```
Dy3Cu6Sn5
1.0
-2.166 4.967 6.393
2.166 -4.967 6.393
2.166 4.967 -6.393
Dy Cu Sn
3 6 5
direct
0.000 0.000 0.000
0.310 0.310 0.000
0.690 0.690 0.000
0.159 0.873 0.286
0.310 0.500 0.810
0.413 0.127 0.286
0.587 0.873 0.714
0.690 0.500 0.190
0.841 0.127 0.714
0.016 0.664 0.352
0.311 0.664 0.648
0.500 0.000 0.500
0.689 0.336 0.352
0.984 0.336 0.648
```

# TaBe3B
Simulated XRD peak list, copper Kα. Input: a PBE-relaxed structure.

Principal peaks in the range 2θ = 15–90°, most intense first:
Position (°2θ)  intensity
31.3  100
28.1  90
40.6  87
44.5  70
38.0  52
30.8  51
20.4  44
27.7  32
46.1  29
55.1  26

Cell and atoms:
```
TaBe3B
1.0
-1.613 1.640 8.714
1.613 -1.640 8.714
1.613 1.640 -8.714
Ta Be B
2 6 2
direct
0.335 0.085 0.250
0.665 0.915 0.750
0.047 0.797 0.250
0.221 0.471 0.750
0.453 0.703 0.750
0.547 0.297 0.250
0.779 0.529 0.250
0.953 0.203 0.750
0.113 0.363 0.750
0.887 0.637 0.250
```

# KRb12Na6
Simulated XRD peak list, copper Kα. Input: a PBE-relaxed structure.

Principal peaks in the range 2θ = 15–90°, most intense first:
Position (°2θ)  intensity
25.1  100
24.7  91
18.3  69
23.1  69
24.2  51
25.9  49
41.3  25
45.0  23
26.9  20
47.1  20

Cell and atoms:
```
KRb12Na6
1.0
7.622 4.401 6.716
-7.622 4.401 6.716
0.000 -8.801 6.716
K Rb Na
1 12 6
direct
0.000 0.000 0.000
0.021 0.379 0.156
0.156 0.021 0.379
0.196 0.572 0.462
0.379 0.156 0.021
0.428 0.538 0.804
0.462 0.196 0.572
0.538 0.804 0.428
0.572 0.462 0.196
0.621 0.844 0.979
0.804 0.428 0.538
0.844 0.979 0.621
0.979 0.621 0.844
0.101 0.251 0.740
0.251 0.740 0.101
0.260 0.899 0.749
0.740 0.101 0.251
0.749 0.260 0.899
0.899 0.749 0.260
```